Structure and calculated XRD peak list of TaPb3 (DFT lattice parameters and positions (GGA-PBE); CuKα).

Cell and atoms:
```
TaPb3
1.0
6.609 0.000 0.000
-3.304 5.723 0.000
0.000 0.000 5.553
Ta Pb
2 6
direct
0.333 0.667 0.250
0.667 0.333 0.750
0.173 0.346 0.750
0.173 0.827 0.750
0.346 0.173 0.250
0.654 0.827 0.750
0.827 0.173 0.250
0.827 0.654 0.250
```

The 10 most intense peaks (10° ≤ 2θ ≤ 80°), in order of rising 2θ:
| d_spacing | Position (°2θ) | Rel. int. | hkl |
| --- | --- | --- | --- |
| 2.862 | 31.26 | 23 | 2 0 0 |
| 2.777 | 32.24 | 28 | 0 0 2 |
| 2.544 | 35.28 | 100 | 2 0 1 |
| 1.993 | 45.52 | 17 | 2 0 2 |
| 1.652 | 55.63 | 18 | 2 2 0 |
| 1.554 | 59.47 | 23 | 2 0 3 |
| 1.420 | 65.77 | 22 | 2 2 2 |
| 1.386 | 67.61 | 15 | 4 0 1 |
| 1.272 | 74.62 | 4 | 4 0 2 |
| 1.249 | 76.22 | 4 | 2 0 4 |

***

Structure and calculated XRD peak list of SrAl2Ge2 (DFT lattice parameters and positions (GGA-PBE); CuKα).

Cell and atoms:
```
SrAl2Ge2
1.0
4.259 0.000 0.000
-2.130 3.689 0.000
0.000 0.000 7.483
Sr Al Ge
1 2 2
direct
0.000 0.000 0.000
0.333 0.667 0.626
0.667 0.333 0.374
0.333 0.667 0.272
0.667 0.333 0.728
```

The 10 most intense peaks (10° ≤ 2θ ≤ 80°), in order of rising 2θ:
| d_spacing | Position (°2θ) | Rel. int. | hkl |
| --- | --- | --- | --- |
| 3.308 | 26.95 | 100 | 0 1 1 |
| 2.627 | 34.13 | 61 | 0 1 2 |
| 2.494 | 36.01 | 12 | 0 0 3 |
| 2.130 | 42.45 | 54 | 1 1 0 |
| 2.066 | 43.82 | 29 | 1 0 3 |
| 1.791 | 51.00 | 17 | 2 0 1 |
| 1.654 | 55.55 | 15 | 2 0 2 |
| 1.620 | 56.85 | 18 | 1 1 3 |
| 1.371 | 68.45 | 14 | 1 2 1 |
| 1.306 | 72.33 | 13 | 1 2 2 |

***

Question: Number 1 is which compound?
Answer: TaPb3